Entry 1:
The following is a calculated XRD peak list of LaSn6Ru4. It was derived from a cell relaxed with GGA-PBE, using Cu Kα (λ = 1.5418 Å).

The 12 most intense peaks (10° ≤ 2θ ≤ 80°), by angle:
| 2theta | I (rel.) |
| --- | --- |
| 30.06 | 65 |
| 31.42 | 52 |
| 36.48 | 32 |
| 39.85 | 100 |
| 40.87 | 52 |
| 40.97 | 25 |
| 52.46 | 22 |
| 55.08 | 15 |
| 55.99 | 19 |
| 59.32 | 12 |
| 61.69 | 25 |
| 71.61 | 21 |

Structural model:
```
11
Lattice="-3.4831 3.4831 4.9414 3.4831 -3.4831 4.9414 3.4831 3.4831 -4.9414" Properties=species:S:1:pos:R:3 pbc="T T T"
La 0.0000 0.0000 0.0000
Sn 3.4831 0.0000 0.0000
Sn 1.2453 -1.2453 2.9279
Sn -1.2453 1.2453 2.9279
Sn 0.0000 3.4831 0.0000
Sn 2.2377 2.2377 2.0135
Sn 1.2453 1.2453 6.9550
Ru 2.2931 2.2931 -0.7832
Ru 1.1900 -1.1900 5.7246
Ru 1.1900 1.1900 4.1583
Ru -1.1900 1.1900 5.7246
```



Entry 2:
The following is a calculated XRD peak list of NaSn3Pb12. It was derived from a cell relaxed with GGA-PBE, using Cu Kα (λ = 1.5418 Å).

The 12 most intense peaks (10° ≤ 2θ ≤ 80°), by angle:
| 2theta | I (rel.) |
| --- | --- |
| 17.31 | 2 |
| 18.14 | 4 |
| 25.18 | 4 |
| 31.21 | 100 |
| 35.03 | 18 |
| 36.76 | 33 |
| 51.68 | 25 |
| 52.96 | 12 |
| 60.46 | 16 |
| 62.77 | 28 |
| 65.09 | 13 |
| 78.19 | 4 |

Structural model:
```
16
Lattice="4.8899 0.0000 0.0000 0.0000 4.8899 0.0000 0.0000 0.0000 20.4928" Properties=species:S:1:pos:R:3 pbc="T T T"
Na 0.0000 0.0000 0.0000
Sn 0.0000 0.0000 5.0390
Sn 0.0000 0.0000 10.2464
Sn 0.0000 0.0000 15.4538
Pb 0.0000 2.4449 2.5102
Pb 0.0000 2.4449 7.6549
Pb 0.0000 2.4449 12.8379
Pb 0.0000 2.4449 17.9826
Pb 2.4449 0.0000 2.5102
Pb 2.4449 0.0000 7.6549
Pb 2.4449 0.0000 12.8379
Pb 2.4449 0.0000 17.9826
Pb 2.4449 2.4449 0.0000
Pb 2.4449 2.4449 5.0955
Pb 2.4449 2.4449 10.2464
Pb 2.4449 2.4449 15.3973
```



Entry 3:
The following is a calculated XRD peak list of MgAs2S4. It was derived from a cell relaxed with GGA-PBE, using Cu Kα (λ = 1.5418 Å).

The 12 most intense peaks (10° ≤ 2θ ≤ 80°), by angle:
| 2theta | I (rel.) |
| --- | --- |
| 11.29 | 20 |
| 14.41 | 100 |
| 20.17 | 24 |
| 24.21 | 28 |
| 29.53 | 31 |
| 32.08 | 90 |
| 38.17 | 16 |
| 39.77 | 26 |
| 40.06 | 16 |
| 41.00 | 18 |
| 51.91 | 20 |
| 52.93 | 24 |

Structural model:
```
7
Lattice="8.0186 -1.7837 0.0000 8.0186 1.7837 0.0000 -1.3359 0.0000 6.1459" Properties=species:S:1:pos:R:3 pbc="T T T"
Mg 0.0000 0.0000 0.0000
As 3.8551 0.0000 5.5394
As 10.8462 0.0000 0.6065
S 1.9080 0.0000 1.8940
S 6.5538 0.0000 1.1305
S 8.1475 0.0000 5.0154
S 12.7933 0.0000 4.2519
```